# AlGa4Rh
Theoretical X-ray powder pattern, λ = 1.5418 Å (Cu Kα). Input: a DFT-relaxed cell (GGA-PBE, Alexandria).
Lines closer than 0.1° are merged.

```
data_AlGa4Rh
_chemical_formula_sum 'Al2 Ga8 Rh2'
_space_group_name_H-M_alt 'P 1'
_space_group_IT_number 1
_space_group_name_Hall 'P 1'
_cell_length_a 5.276
_cell_length_b 6.039
_cell_length_c 6.452
_cell_angle_alpha 90.00
_cell_angle_beta 90.00
_cell_angle_gamma 90.00
loop_
_atom_site_label
_atom_site_type_symbol
_atom_site_fract_x
_atom_site_fract_y
_atom_site_fract_z
Al1 Al 0.000 0.000 0.000
Al2 Al 0.500 0.500 0.000
Ga1 Ga 0.193 0.303 0.745
Ga2 Ga 0.193 0.697 0.255
Ga3 Ga 0.276 0.169 0.331
Ga4 Ga 0.276 0.831 0.669
Ga5 Ga 0.724 0.169 0.669
Ga6 Ga 0.724 0.831 0.331
Ga7 Ga 0.807 0.303 0.255
Ga8 Ga 0.807 0.697 0.745
Rh1 Rh 0.500 0.000 0.000
Rh2 Rh 0.500 0.500 0.500
```

Principal peaks in the range 10° ≤ 2θ ≤ 90°, sorted by position:
index	d/Å	I (rel.)
1 0 2	2.752	40.1
1 2 1	2.428	100.0
2 1 1	2.264	77.2
0 2 2	2.205	83.8
2 0 2	2.042	79.6
2 2 0	1.987	62.4